Diffraction record for CaZrScPt2. The powder XRD pattern is calculated, not measured: it uses a structure optimized by DFT (GGA-PBE) and λ = 1.5418 Å (Cu Kα).
No peak broadening, texture or thermal motion is included.

Structural model:
Unit cell a=4.561 b=4.561 c=11.107 alpha=90.00 beta=90.00 gamma=90.00
Space group I-4m2 (No. 119)
One atom of each set of equivalent atoms:
Ca1 0.000 0.000 0.000 [2 per cell]
Zr1 0.000 0.500 0.250 [2 per cell]
Sc1 0.000 0.500 0.750 [2 per cell]
Pt1 0.000 0.000 0.381 [4 per cell]

Largest 8 diffraction maxima, in order of rising 2θ, 10° ≤ 2θ ≤ 90°:
21.06°, d 4.219, intensity 100
27.66°, d 3.225, intensity 36
31.11°, d 2.874, intensity 53
32.10°, d 2.789, intensity 27
39.52°, d 2.280, intensity 55
42.98°, d 2.104, intensity 61
45.20°, d 2.006, intensity 29
45.41°, d 1.997, intensity 31